# Er8HgOs2
Theoretical powder X-ray diffraction pattern, copper Kα. Input: DFT lattice parameters and positions (GGA-PBE).

Most intense lines, 2θ = 10–90°, by angle:
2θ/deg, I_rel
31.46, 60
31.75, 47
33.42, 25
34.26, 21
34.86, 67
35.73, 100
40.83, 22
43.10, 16
62.30, 19
63.07, 19

Crystal structure
Cell lengths 5.148, 15.706, 6.895 Å; angles 90.00, 90.00, 90.00 degrees
Space group Imm2 (No. 44)
One atom of each set of equivalent atoms:
Er  0.000  0.000  0.000 [2 per cell]
Er  0.000  0.111  0.448 [4 per cell]
Er  0.000  0.290  0.128 [4 per cell]
Er  0.000  0.334  0.587 [4 per cell]
Er  0.000  0.500  0.216 [2 per cell]
Hg  0.000  0.500  0.793 [2 per cell]
Os  0.000  0.169  0.820 [4 per cell]